Structure and simulated powder diffraction line list of Pm2CuAu (a structure optimized by DFT (PBE); CuKα).

Main lines, low angle first (2θ = 10–80°):
2θ/deg	I (rel.)
21.13	12
34.84	100
41.11	7
50.10	18
54.96	3
62.48	37
73.57	11
77.55	2

Cell and atoms:
abc: 5.150 5.150 5.150
angles: 60.00 60.00 60.00
Positions (direct):
1 Pm 0.250 0.250 0.250
2 Pm 0.750 0.750 0.750
3 Cu 0.000 0.000 0.000
4 Au 0.500 0.500 0.500

Structure and simulated powder diffraction line list of Mg3TiH8 (a structure optimized by DFT (PBE); CuKα).

Main lines, low angle first (2θ = 10–80°):
2θ/deg	I (rel.)
19.19	11
27.27	8
33.57	100
38.95	41
43.78	4
56.27	35
67.14	35
70.55	9

Cell and atoms:
abc: 4.624 4.624 4.624
angles: 90.00 90.00 90.00
Positions (direct):
1 Mg 0.000 0.000 0.500
2 Mg 0.000 0.500 0.000
3 Mg 0.500 0.000 0.000
4 Ti 0.500 0.500 0.500
5 H 0.257 0.257 0.257
6 H 0.257 0.257 0.743
7 H 0.257 0.743 0.257
8 H 0.257 0.743 0.743
9 H 0.743 0.257 0.257
10 H 0.743 0.257 0.743
11 H 0.743 0.743 0.257
12 H 0.743 0.743 0.743

Structure and simulated powder diffraction line list of KCe5S8 (a structure optimized by DFT (PBE); CuKα).

Main lines, low angle first (2θ = 10–80°):
2θ/deg	I (rel.)
25.29	100
32.76	76
32.97	31
39.01	42
39.16	29
47.04	29
49.57	27
66.71	19

Cell and atoms:
abc: 7.471 7.471 7.471
angles: 109.27 109.27 109.87
Positions (direct):
1 K 0.000 0.000 0.000
2 Ce 0.242 0.119 0.619
3 Ce 0.378 0.758 0.877
4 Ce 0.499 0.622 0.381
5 Ce 0.750 0.250 0.500
6 Ce 0.881 0.501 0.123
7 S 0.129 0.387 0.893
8 S 0.130 0.388 0.414
9 S 0.284 0.870 0.259
10 S 0.494 0.236 0.107
11 S 0.612 0.026 0.741
12 S 0.613 0.506 0.742
13 S 0.764 0.871 0.258
14 S 0.974 0.716 0.586